Record 1
This entry pairs a crystal structure of Ba2NaCa5 with its calculated X-ray powder pattern. Radiation: λ = 1.5418 Å (Cu Kα). Structure: DFT lattice parameters and positions (GGA-PBE).

Principal peaks in the range 2θ from 5° to 70°, in order of rising 2θ:
- 2θ 7.83, I = 45, hkl 0 0 2
- 2θ 23.27, I = 29, hkl 1 1 2
- 2θ 27.04, I = 100, hkl 1 1 4
- 2θ 31.14, I = 36, hkl 2 0 0
- 2θ 45.03, I = 21, hkl 2 0 8
- 2θ 52.95, I = 29, hkl 3 1 4

Atomic structure:
Unit cell a=5.7451 b=5.7451 c=22.5812 alpha=90.00 beta=90.00 gamma=90.00
Space group I4/mmm (No. 139)
Asymmetric unit:
Ba (0.0000, 0.0000, 0.2461) [4 per cell]
Na (0.0000, 0.0000, 0.5000) [2 per cell]
Ca (0.0000, 0.0000, 0.0000) [2 per cell]
Ca (0.0000, 0.5000, 0.1132) [8 per cell]

Record 2
This entry pairs a crystal structure of Hg5O2F12 with its calculated X-ray powder pattern. Radiation: λ = 1.5418 Å (Cu Kα). Structure: DFT lattice parameters and positions (GGA-PBE).

Principal peaks in the range 2θ from 5° to 70°, in order of rising 2θ:
- 2θ 14.12, I = 19, hkl 2 0 0
- 2θ 25.95, I = 100, hkl 3 1 0
- 2θ 27.61, I = 89, hkl 1 1 -2
- 2θ 29.71, I = 29, hkl 0 2 0
- 2θ 43.81, I = 26, hkl 2 2 2
- 2θ 44.15, I = 26, hkl 4 2 -2

Atomic structure:
Unit cell a=13.0702 b=6.0132 c=7.6636 alpha=90.00 beta=106.24 gamma=90.00
Space group C2/m (No. 12)
Asymmetric unit:
Hg (0.0000, 0.0000, 0.0000) [2 per cell]
Hg (0.1834, 0.5000, 0.3407) [4 per cell]
Hg (0.1857, 0.5000, 0.8478) [4 per cell]
O (0.0000, 0.2240, 0.5000) [4 per cell]
F (0.0060, 0.5000, 0.2871) [4 per cell]
F (0.0231, 0.0000, 0.2859) [4 per cell]
F (0.1558, 0.2532, 0.0658) [8 per cell]
F (0.1785, 0.2591, 0.6048) [8 per cell]